For NiI2O6, a GGA+U-relaxed structure gives the calculated powder diffraction line list in this record (Cu Kα (λ = 1.5418 Å)).
Neutral-atom scattering factors, no anomalous dispersion.

Principal peaks in the range 2θ = 10–80°, by angle:
- d 3.995, 2θ = 22.25°, I 32, (1 1 1)
- d 3.448, 2θ = 25.84°, I 24, (0 2 0)
- d 3.168, 2θ = 28.17°, I 100, (3 1 1)
- d 2.600, 2θ = 34.49°, I 13, (0 0 2)
- d 2.514, 2θ = 35.71°, I 13, (4 2 0)
- d 2.081, 2θ = 43.48°, I 15, (3 3 0)
- d 1.874, 2θ = 48.59°, I 10, (7 1 1)
- d 1.808, 2θ = 50.48°, I 9, (4 2 2)
- d 1.783, 2θ = 51.23°, I 10, (6 0 2)
- d 1.590, 2θ = 58.00°, I 11, (3 1 3)

Structure:
Cell lengths 14.6971, 6.8960, 5.2009 Å; angles 90.00, 90.00, 90.00 degrees
Space group Pbcn (No. 60)
Symmetry-distinct sites (fractional):
Ni 0.0000 0.1277 0.2500
I 0.1476 0.2818 0.7327
O 0.0773 0.0992 0.9107
O 0.0788 0.3278 0.4415
O 0.2371 0.1273 0.6088